The following is a calculated powder diffractogram of Ca2GeN2. It was derived from the PBE geometry in the Materials Project, using Cu Kα (weighted mean of Kα1 and Kα2).
No peak broadening, texture or thermal motion is included.

Structure:
Unit cell a=11.2480 b=11.2480 c=5.0559 alpha=90.00 beta=90.00 gamma=90.00
Space group P4_2/mbc (No. 135)
One atom of each set of equivalent atoms:
1 Ca 0.0212 0.3501 0.0000 (multiplicity 8)
2 Ca 0.0747 0.1328 0.5000 (multiplicity 8)
3 Ge 0.1559 0.7455 0.5000 (multiplicity 8)
4 N 0.0087 0.6634 0.5000 (multiplicity 8)
5 N 0.0894 0.1359 0.0000 (multiplicity 8)

Largest 8 diffraction maxima, in order of rising 2θ, 5 to 70 degrees two-theta:
2θ/deg  d [Å]  Rel. int.
17.63  5.030  38.6
24.97  3.566  23.8
30.73  2.909  32.7
32.83  2.728  41.5
33.77  2.655  100.0
35.51  2.528  86.8
36.57  2.457  54.7
49.13  1.854  24.7